Record 1
Computed powder XRD pattern of SmP3Ir6 for Cu Ka, from a GGA-PBE-relaxed structure.
No peak broadening, texture or thermal motion is included.

Most intense lines, 2θ from 10° to 80°, in order of rising 2θ:
index, 2θ (°), Rel. int.
0 0 2, 30.08, 100
-1 1 1, 33.16, 40
2 1 -1, 36.30, 35
0 2 1, 37.70, 79
2 0 0, 37.92, 65
2 2 0, 38.26, 66
1 2 -1, 40.27, 34
2 2 2, 45.22, 40
0 2 -1, 45.85, 72
2 0 -2, 45.93, 39

```
data_SmP3Ir6
_chemical_formula_sum 'Sm1 P3 Ir6'
_cell_length_a 5.500
_cell_length_b 5.527
_cell_length_c 6.181
_cell_angle_alpha 75.62
_cell_angle_beta 88.88
_cell_angle_gamma 60.39
_symmetry_space_group_name_H-M 'P 1'
_symmetry_Int_Tables_number 1
loop_
_symmetry_equiv_pos_as_xyz
'x,y,z'
loop_
_atom_site_label
_atom_site_type_symbol
_atom_site_fract_x
_atom_site_fract_y
_atom_site_fract_z
_atom_site_occupancy
Sm1 Sm 0.000 0.000 0.000 1
P1 P 0.085 0.838 0.489 1
P2 P 0.355 0.301 0.088 1
P3 P 0.675 0.651 0.095 1
Ir1 Ir 0.066 0.288 0.391 1
Ir2 Ir 0.459 0.075 0.791 1
Ir3 Ir 0.473 0.577 0.792 1
Ir4 Ir 0.483 0.452 0.377 1
Ir5 Ir 0.646 0.873 0.386 1
Ir6 Ir 0.967 0.573 0.807 1
```

---

Record 2
Computed powder XRD pattern of Ba6CuAu2 for Cu Ka, from a GGA-PBE-relaxed structure.
No peak broadening, texture or thermal motion is included.

Most intense lines, 2θ from 10° to 80°, in order of rising 2θ:
index, 2θ (°), Rel. int.
0 1 1, 13.18, 32
1 1 -1, 15.83, 27
1 1 -3, 20.23, 21
2 1 -2, 24.56, 42
1 1 2, 24.68, 83
2 2 -2, 32.03, 100
3 0 0, 37.92, 45
0 0 6, 38.17, 22
1 3 2, 41.77, 29
3 4 0, 62.44, 20

```
data_Ba6CuAu2
_chemical_formula_sum 'Ba12 Cu2 Au4'
_cell_length_a 8.238
_cell_length_b 7.635
_cell_length_c 16.369
_cell_angle_alpha 90.00
_cell_angle_beta 120.20
_cell_angle_gamma 90.00
_symmetry_space_group_name_H-M 'P 1 21/c 1'
_symmetry_Int_Tables_number 14
loop_
_symmetry_equiv_pos_as_xyz
'x,y,z'
'-x,-y,-z'
'-x,y+1/2,-z+1/2'
'x,-y+1/2,z+1/2'
loop_
_atom_site_label
_atom_site_type_symbol
_atom_site_fract_x
_atom_site_fract_y
_atom_site_fract_z
_atom_site_occupancy
Ba1 Ba 0.005 0.245 0.337 1
Ba2 Ba 0.332 0.243 0.664 1
Ba3 Ba 0.335 0.730 0.000 1
Cu1 Cu 0.000 0.000 0.500 1
Au1 Au 0.326 0.000 0.326 1
```

---

Record 3
Computed powder XRD pattern of PrGa5Pd7 for Cu Ka, from a GGA-PBE-relaxed structure.
No peak broadening, texture or thermal motion is included.

Most intense lines, 2θ from 10° to 80°, in order of rising 2θ:
index, 2θ (°), Rel. int.
2 0 0, 33.45, 54
1 3 0, 33.95, 65
1 0 3, 34.81, 45
2 2 0, 39.02, 47
2 0 2, 39.36, 53
0 4 0, 39.60, 46
1 3 2, 39.79, 97
1 2 3, 40.21, 79
0 0 4, 40.93, 50
2 2 2, 44.29, 100

```
data_PrGa5Pd7
_chemical_formula_sum 'Pr2 Ga10 Pd14'
_cell_length_a 5.357
_cell_length_b 9.103
_cell_length_c 8.821
_cell_angle_alpha 90.00
_cell_angle_beta 90.00
_cell_angle_gamma 90.00
_symmetry_space_group_name_H-M 'I m m 2'
_symmetry_Int_Tables_number 44
loop_
_symmetry_equiv_pos_as_xyz
'x,y,z'
'-x,-y,z'
'-x,y,z'
'x,-y,z'
'x+1/2,y+1/2,z+1/2'
'-x+1/2,-y+1/2,z+1/2'
'-x+1/2,y+1/2,z+1/2'
'x+1/2,-y+1/2,z+1/2'
loop_
_atom_site_label
_atom_site_type_symbol
_atom_site_fract_x
_atom_site_fract_y
_atom_site_fract_z
_atom_site_occupancy
Pr1 Pr 0.000 0.000 0.000 1
Ga1 Ga 0.000 0.500 0.268 1
Ga2 Ga 0.246 0.259 0.742 1
Pd1 Pd 0.000 0.000 0.342 1
Pd2 Pd 0.000 0.000 0.661 1
Pd3 Pd 0.000 0.290 0.484 1
Pd4 Pd 0.000 0.342 0.005 1
Pd5 Pd 0.000 0.500 0.722 1
```

---

Record 4
Computed powder XRD pattern of LiAl6Cu6 for Cu Ka, from a GGA-PBE-relaxed structure.
No peak broadening, texture or thermal motion is included.

Most intense lines, 2θ from 10° to 80°, in order of rising 2θ:
index, 2θ (°), Rel. int.
1 0 1, 20.30, 35
0 0 2, 20.67, 18
0 2 0, 21.03, 90
2 0 2, 41.25, 53
0 0 4, 42.05, 56
0 4 0, 42.81, 32
2 2 2, 46.75, 100
0 2 4, 47.48, 43
1 4 1, 47.81, 18
2 4 2, 60.96, 18

```
data_LiAl6Cu6
_chemical_formula_sum 'Li2 Al12 Cu12'
_cell_length_a 5.086
_cell_length_b 8.449
_cell_length_c 8.593
_cell_angle_alpha 90.00
_cell_angle_beta 90.00
_cell_angle_gamma 90.00
_symmetry_space_group_name_H-M 'I m m m'
_symmetry_Int_Tables_number 71
_symmetry_space_group_name_Hall '-I 2 2'
loop_
_atom_site_label
_atom_site_type_symbol
_atom_site_fract_x
_atom_site_fract_y
_atom_site_fract_z
_atom_site_occupancy
Li1 Li 0.000 0.000 0.000 1
Al1 Al 0.000 0.000 0.344 1
Al2 Al 0.000 0.344 0.000 1
Al3 Al 0.000 0.500 0.310 1
Cu1 Cu 0.000 0.263 0.500 1
Cu2 Cu 0.250 0.250 0.250 1
```

---

Record 5
Computed powder XRD pattern of Rb7SeBr5 for Cu Ka, from a GGA-PBE-relaxed structure.
No peak broadening, texture or thermal motion is included.

Most intense lines, 2θ from 10° to 80°, in order of rising 2θ:
index, 2θ (°), Rel. int.
2 0 7, 24.38, 78
3 1 2, 25.22, 97
3 1 -3, 26.18, 100
2 0 -8, 27.23, 38
1 1 9, 33.93, 46
5 1 4, 35.48, 35
0 2 0, 36.30, 50
1 1 -10, 36.70, 77
6 0 -5, 36.90, 33
2 2 7, 44.21, 31

```
data_Rb7SeBr5
_chemical_formula_sum 'Rb28 Se4 Br20'
_cell_length_a 16.145
_cell_length_b 4.950
_cell_length_c 28.659
_cell_angle_alpha 90.00
_cell_angle_beta 90.01
_cell_angle_gamma 90.00
_symmetry_space_group_name_H-M 'C 1 m 1'
_symmetry_Int_Tables_number 8
loop_
_symmetry_equiv_pos_as_xyz
'x,y,z'
'x,-y,z'
'x+1/2,y+1/2,z'
'x+1/2,-y+1/2,z'
loop_
_atom_site_label
_atom_site_type_symbol
_atom_site_fract_x
_atom_site_fract_y
_atom_site_fract_z
_atom_site_occupancy
Rb1 Rb 0.000 0.000 0.000 1
Rb2 Rb 0.001 0.000 0.134 1
Rb3 Rb 0.111 0.500 0.634 1
Rb4 Rb 0.112 0.500 0.500 1
Rb5 Rb 0.170 0.000 0.780 1
Rb6 Rb 0.171 0.000 0.355 1
Rb7 Rb 0.212 0.500 0.932 1
Rb8 Rb 0.214 0.500 0.203 1
Rb9 Rb 0.239 0.000 0.067 1
Rb10 Rb 0.372 0.000 0.567 1
Rb11 Rb 0.398 0.500 0.703 1
Rb12 Rb 0.400 0.500 0.432 1
Rb13 Rb 0.440 0.000 0.855 1
Rb14 Rb 0.441 0.000 0.280 1
Se1 Se 0.011 0.000 0.567 1
Se2 Se 0.100 0.500 0.067 1
Br1 Br 0.029 0.500 0.744 1
Br2 Br 0.031 0.500 0.390 1
Br3 Br 0.081 0.000 0.890 1
Br4 Br 0.082 0.000 0.244 1
Br5 Br 0.260 0.000 0.669 1
Br6 Br 0.261 0.000 0.465 1
Br7 Br 0.305 0.500 0.817 1
Br8 Br 0.306 0.500 0.317 1
Br9 Br 0.351 0.000 0.169 1
Br10 Br 0.351 0.000 0.965 1
```

---

Record 6
Computed powder XRD pattern of Pm5Ho4Tm4 for Cu Ka, from a GGA-PBE-relaxed structure.
No peak broadening, texture or thermal motion is included.

Most intense lines, 2θ from 10° to 80°, in order of rising 2θ:
index, 2θ (°), Rel. int.
3 2 1, 30.75, 100
0 0 2, 35.66, 51
1 5 2, 51.32, 36
3 2 3, 61.03, 43
6 4 2, 64.06, 12
2 10 0, 75.47, 4
0 0 4, 75.63, 2

```
data_Pm5Ho4Tm4
_chemical_formula_sum 'Pm10 Ho8 Tm8'
_cell_length_a 12.845
_cell_length_b 12.845
_cell_length_c 5.030
_cell_angle_alpha 90.00
_cell_angle_beta 90.00
_cell_angle_gamma 90.00
_symmetry_space_group_name_H-M 'I 4/m'
_symmetry_Int_Tables_number 87
_symmetry_space_group_name_Hall '-I 4'
loop_
_atom_site_label
_atom_site_type_symbol
_atom_site_fract_x
_atom_site_fract_y
_atom_site_fract_z
_atom_site_occupancy
Pm1 Pm 0.000 0.000 0.000 1
Pm2 Pm 0.039 0.195 0.500 1
Ho1 Ho 0.155 0.767 0.000 1
Tm1 Tm 0.076 0.386 0.000 1
```